Computed XRD peak list
Compound: BaPm4Cd5
Radiation: Cu Kα, 1.54184 Å
Structure: a PBE-relaxed structure
Peak positions follow from Bragg's law for the DFT cell and can differ from measured ones.

Atomic structure:
abc: 3.8886 3.8886 19.7342
angles: 90.00 90.00 90.00
Space group P4/mmm (No. 123)
Symmetry-distinct sites (fractional):
Ba 0.0000 0.0000 0.0000 (multiplicity 1)
Pm 0.0000 0.0000 0.2146 (multiplicity 2)
Pm 0.0000 0.0000 0.4053 (multiplicity 2)
Cd 0.5000 0.5000 0.1232 (multiplicity 2)
Cd 0.5000 0.5000 0.3095 (multiplicity 2)
Cd 0.5000 0.5000 0.5000 (multiplicity 1)

Peak list (10 most intense, 10 to 80 degrees two-theta, low angle first)
2θ/deg, I (rel.), h k l
32.32, 100.0, 1 0 5
32.56, 57.8, 1 1 0
35.76, 10.7, 1 0 6
46.72, 20.9, 2 0 0
57.48, 11.2, 1 1 10
57.95, 36.7, 2 1 5
67.64, 6.8, 2 0 10
68.21, 6.6, 2 2 0
77.51, 7.8, 3 0 5
77.65, 9.1, 3 1 0

Computed XRD peak list
Compound: BaPm2Cd2Sn2
Radiation: Cu Kα, 1.54184 Å
Structure: a PBE-relaxed structure
Peak positions follow from Bragg's law for the DFT cell and can differ from measured ones.

Atomic structure:
abc: 5.1183 5.1183 29.2682
angles: 90.00 90.00 120.00
Space group R-3m (No. 166, hexagonal axes)
Symmetry-distinct sites (fractional):
Ba 0.0000 0.0000 0.0000 (multiplicity 3)
Pm 0.0000 0.0000 0.1347 (multiplicity 6)
Cd 0.0000 0.0000 0.4307 (multiplicity 6)
Sn 0.0000 0.0000 0.2555 (multiplicity 6)

Peak list (10 most intense, 10 to 80 degrees two-theta, low angle first)
2θ/deg, I (rel.), h k l
29.37, 95.3, 1 0 7
31.71, 27.0, 0 1 8
35.06, 100.0, 1 1 0
36.81, 15.3, 1 0 10
45.09, 11.7, 1 1 9
46.37, 26.9, 0 2 7
54.25, 16.5, 1 0 16
59.43, 25.4, 2 1 7
62.90, 18.2, 3 0 0
77.21, 11.8, 2 1 16

Computed XRD peak list
Compound: BaPr2Cd9
Radiation: Cu Kα, 1.54184 Å
Structure: a PBE-relaxed structure
Peak positions follow from Bragg's law for the DFT cell and can differ from measured ones.

Atomic structure:
abc: 6.1751 6.1751 29.0124
angles: 90.00 90.00 120.00
Space group R-3m (No. 166, hexagonal axes)
Symmetry-distinct sites (fractional):
Ba 0.0000 0.0000 0.0000 (multiplicity 3)
Pr 0.0000 0.0000 0.1443 (multiplicity 6)
Cd 0.0000 0.0000 0.3357 (multiplicity 6)
Cd 0.0000 0.0000 0.5000 (multiplicity 3)
Cd 0.0088 0.5044 0.9142 (multiplicity 18)

Peak list (10 most intense, 10 to 80 degrees two-theta, low angle first)
2θ/deg, I (rel.), h k l
28.92, 28.3, 1 1 0
29.77, 17.1, 0 1 8
33.66, 29.5, 0 2 1
34.46, 100.0, 1 1 6
35.79, 14.8, 0 2 4
37.02, 29.3, 2 0 5
37.19, 21.3, 0 0 12
54.89, 25.6, 0 3 6
59.92, 25.3, 2 2 0
72.67, 16.5, 2 2 12

Computed XRD peak list
Compound: BaPrCd2Sn2
Radiation: Cu Kα, 1.54184 Å
Structure: a PBE-relaxed structure
Peak positions follow from Bragg's law for the DFT cell and can differ from measured ones.

Atomic structure:
abc: 4.9670 4.9670 8.7452
angles: 90.00 90.00 120.00
Space group P-3m1 (No. 164)
Symmetry-distinct sites (fractional):
Ba 0.0000 0.0000 0.0000 (multiplicity 1)
Pr 0.0000 0.0000 0.5000 (multiplicity 1)
Cd 0.3333 0.6667 0.6833 (multiplicity 2)
Sn 0.3333 0.6667 0.2620 (multiplicity 2)

Peak list (10 most intense, 10 to 80 degrees two-theta, low angle first)
2θ/deg, I (rel.), h k l
10.11, 11.8, 0 0 1
29.12, 100.0, 0 1 2
36.17, 66.7, 1 1 0
37.26, 9.4, 0 1 3
47.09, 26.5, 2 0 2
48.13, 7.1, 1 1 3
56.04, 15.9, 1 1 4
60.78, 24.7, 1 2 2
65.05, 11.9, 3 0 0
76.75, 7.5, 2 2 0

Computed XRD peak list
Compound: BaCd12Pt6
Radiation: Cu Kα, 1.54184 Å
Structure: a PBE-relaxed structure
Peak positions follow from Bragg's law for the DFT cell and can differ from measured ones.

Atomic structure:
abc: 12.4911 12.4911 9.5061
angles: 90.00 90.00 120.00
Space group R-3m (No. 166, hexagonal axes)
Symmetry-distinct sites (fractional):
Ba 0.0000 0.0000 0.0000 (multiplicity 3)
Cd 0.0000 0.3830 0.5000 (multiplicity 18)
Cd 0.0879 0.1759 0.3257 (multiplicity 18)
Pt 0.0473 0.5236 0.2570 (multiplicity 18)

Peak list (10 most intense, 10 to 80 degrees two-theta, low angle first)
2θ/deg, I (rel.), h k l
14.18, 40.4, 1 1 0
23.69, 54.3, 2 1 1
31.26, 73.9, 1 3 1
31.66, 46.9, 1 1 3
37.45, 100.0, 3 2 1
37.80, 78.1, 0 3 3
38.29, 50.8, 0 4 2
41.50, 83.1, 0 2 4
46.10, 72.7, 5 0 2
60.96, 34.3, 5 2 3

Computed XRD peak list
Compound: Ba12CdPt5
Radiation: Cu Kα, 1.54184 Å
Structure: a PBE-relaxed structure
Peak positions follow from Bragg's law for the DFT cell and can differ from measured ones.

Atomic structure:
abc: 8.0331 14.2702 15.1295
angles: 90.00 90.31 90.00
Space group C2/m (No. 12)
Symmetry-distinct sites (fractional):
Ba 0.1342 0.0000 0.1188 (multiplicity 4)
Ba 0.1630 0.1669 0.3914 (multiplicity 8)
Ba 0.1637 0.5000 0.3885 (multiplicity 4)
Ba 0.1790 0.3181 0.1171 (multiplicity 8)
Cd 0.0000 0.5000 0.0000 (multiplicity 2)
Pt 0.0000 0.0000 0.5000 (multiplicity 2)
Pt 0.0000 0.1654 0.0000 (multiplicity 4)
Pt 0.0000 0.3345 0.5000 (multiplicity 4)

Peak list (10 most intense, 10 to 80 degrees two-theta, low angle first)
2θ/deg, I (rel.), h k l
11.70, 100.0, 0 0 2
22.91, 21.4, 2 0 1
24.73, 75.7, 1 3 -2
28.07, 72.0, 1 3 -3
32.61, 19.6, 2 0 4
36.89, 29.0, 1 3 -5
36.99, 20.9, 1 3 5
37.83, 23.8, 0 6 0
39.06, 64.2, 3 3 -1
48.08, 15.5, 0 0 8

Computed XRD peak list
Compound: Ba5Cd2Pt
Radiation: Cu Kα, 1.54184 Å
Structure: a PBE-relaxed structure
Peak positions follow from Bragg's law for the DFT cell and can differ from measured ones.

Atomic structure:
abc: 19.8714 8.2240 8.9917
angles: 90.00 97.18 90.00
Space group C2/c (No. 15)
Symmetry-distinct sites (fractional):
Ba 0.0000 0.0698 0.2500 (multiplicity 4)
Ba 0.0980 0.3694 0.9372 (multiplicity 8)
Ba 0.2201 0.0693 0.3033 (multiplicity 8)
Cd 0.1033 0.2111 0.5682 (multiplicity 8)
Pt 0.2500 0.2500 0.0000 (multiplicity 4)

Peak list (10 most intense, 10 to 80 degrees two-theta, low angle first)
2θ/deg, I (rel.), h k l
23.83, 38.1, 0 2 1
25.07, 100.0, 5 1 0
25.95, 44.1, 2 2 1
27.14, 36.3, 6 0 0
28.04, 54.2, 5 1 1
29.55, 56.2, 0 2 2
31.72, 54.4, 6 0 -2
31.79, 68.0, 1 1 -3
36.45, 46.4, 3 3 -1
41.70, 38.3, 5 1 3

Computed XRD peak list
Compound: BaCdPt
Radiation: Cu Kα, 1.54184 Å
Structure: a PBE-relaxed structure
Peak positions follow from Bragg's law for the DFT cell and can differ from measured ones.

Atomic structure:
abc: 7.9030 4.5972 13.5285
angles: 90.00 90.33 90.00
Space group P2_1/m (No. 11)
Symmetry-distinct sites (fractional):
Ba 0.0271 0.2500 0.2898 (multiplicity 2)
Ba 0.3460 0.7500 0.9205 (multiplicity 2)
Ba 0.4729 0.7500 0.6229 (multiplicity 2)
Cd 0.0049 0.2500 0.9159 (multiplicity 2)
Cd 0.1430 0.2500 0.5414 (multiplicity 2)
Cd 0.3550 0.7500 0.2028 (multiplicity 2)
Pt 0.2259 0.2500 0.0892 (multiplicity 2)
Pt 0.2268 0.7500 0.4220 (multiplicity 2)
Pt 0.2697 0.2500 0.7545 (multiplicity 2)

Peak list (10 most intense, 10 to 80 degrees two-theta, low angle first)
2θ/deg, I (rel.), h k l
29.82, 27.2, 2 1 0
29.98, 100.0, 1 1 3
30.57, 38.8, 2 1 1
32.63, 67.3, 2 1 -2
32.74, 40.3, 2 1 2
32.88, 61.4, 0 1 4
39.19, 71.0, 0 2 0
40.01, 46.7, 0 0 6
40.29, 25.7, 2 1 4
57.24, 27.7, 0 2 6

Computed XRD peak list
Compound: Ba6CdPt
Radiation: Cu Kα, 1.54184 Å
Structure: a PBE-relaxed structure
Peak positions follow from Bragg's law for the DFT cell and can differ from measured ones.

Atomic structure:
abc: 8.0825 8.0825 15.5185
angles: 90.00 90.00 120.00
Space group P-31c (No. 163)
Symmetry-distinct sites (fractional):
Ba 0.0135 0.3234 0.1188 (multiplicity 12)
Cd 0.3333 0.6667 0.7500 (multiplicity 2)
Pt 0.0000 0.0000 0.0000 (multiplicity 2)

Peak list (10 most intense, 10 to 80 degrees two-theta, low angle first)
2θ/deg, I (rel.), h k l
12.65, 16.8, 1 0 0
17.06, 33.8, 1 0 2
24.84, 100.0, 2 -1 2
31.98, 56.4, 2 -1 4
35.86, 12.9, 3 -1 2
38.59, 38.7, 3 0 0
41.45, 25.7, 1 1 6
46.44, 16.6, 2 2 2
50.96, 14.2, 2 2 4
62.24, 17.6, 3 0 8

Computed XRD peak list
Compound: Ba6Cd2PtRh
Radiation: Cu Kα, 1.54184 Å
Structure: a PBE-relaxed structure
Peak positions follow from Bragg's law for the DFT cell and can differ from measured ones.

Atomic structure:
abc: 8.0914 8.8407 14.4777
angles: 90.00 123.97 90.00
Space group P2_1/c (No. 14)
Symmetry-distinct sites (fractional):
Ba 0.1338 0.1858 0.4499 (multiplicity 4)
Ba 0.2715 0.6923 0.4507 (multiplicity 4)
Ba 0.3587 0.0181 0.2531 (multiplicity 4)
Cd 0.2058 0.0977 0.7505 (multiplicity 4)
Pt 0.0000 0.0000 0.0000 (multiplicity 2)
Rh 0.5000 0.0000 0.5000 (multiplicity 2)

Peak list (10 most intense, 10 to 80 degrees two-theta, low angle first)
2θ/deg, I (rel.), h k l
14.81, 87.3, 1 1 -1
24.15, 80.5, 1 2 -2
24.82, 75.5, 1 0 2
25.32, 100.0, 2 1 -3
27.37, 65.3, 1 2 -3
28.46, 51.7, 2 1 0
29.76, 89.9, 0 0 4
29.94, 87.3, 2 2 -2
32.33, 89.3, 1 3 -1
37.96, 96.0, 3 1 -1

Computed XRD peak list
Compound: Ba2Zn2CdPt5
Radiation: Cu Kα, 1.54184 Å
Structure: a PBE-relaxed structure
Peak positions follow from Bragg's law for the DFT cell and can differ from measured ones.

Atomic structure:
abc: 10.3928 10.3928 3.7975
angles: 90.00 90.00 90.00
Space group P4/mbm (No. 127)
Symmetry-distinct sites (fractional):
Ba 0.1809 0.3191 0.0000 (multiplicity 4)
Zn 0.1188 0.6188 0.0000 (multiplicity 4)
Cd 0.0000 0.0000 0.0000 (multiplicity 2)
Pt 0.0000 0.5000 0.5000 (multiplicity 2)
Pt 0.0590 0.7868 0.5000 (multiplicity 8)

Peak list (10 most intense, 10 to 80 degrees two-theta, low angle first)
2θ/deg, I (rel.), h k l
30.40, 26.8, 2 1 1
33.95, 38.6, 2 2 1
35.62, 62.6, 4 1 0
36.14, 100.0, 3 1 1
38.75, 19.9, 4 2 0
39.24, 47.9, 3 2 1
42.14, 20.3, 4 0 1
47.91, 27.6, 0 0 2
61.10, 26.4, 4 1 2
63.26, 19.7, 7 1 0

Computed XRD peak list
Compound: BaPuCd10
Radiation: Cu Kα, 1.54184 Å
Structure: a PBE-relaxed structure
Peak positions follow from Bragg's law for the DFT cell and can differ from measured ones.

Atomic structure:
abc: 4.9331 6.0115 10.4626
angles: 90.00 90.00 90.00
Space group Pmmm (No. 47)
Symmetry-distinct sites (fractional):
Ba 0.0000 0.0000 0.0000 (multiplicity 1)
Pu 0.0000 0.5000 0.5000 (multiplicity 1)
Cd 0.0000 0.0000 0.3428 (multiplicity 2)
Cd 0.0000 0.5000 0.1778 (multiplicity 2)
Cd 0.5000 0.0000 0.5000 (multiplicity 1)
Cd 0.5000 0.2540 0.2581 (multiplicity 4)
Cd 0.5000 0.5000 0.0000 (multiplicity 1)

Peak list (10 most intense, 10 to 80 degrees two-theta, low angle first)
2θ/deg, I (rel.), h k l
24.84, 28.7, 1 1 1
29.61, 15.9, 0 1 3
34.41, 21.1, 0 2 2
34.89, 100.0, 1 2 0
36.43, 30.8, 2 0 0
39.09, 13.4, 1 2 2
50.95, 20.7, 2 0 4
56.12, 16.3, 1 3 3
64.57, 16.1, 3 2 0
73.61, 13.9, 2 2 6